1.
The following is a calculated PXRD pattern of Mn3Fe3O8. It was derived from a DFT-relaxed cell (GGA+U, Alexandria), using Cu Kα, 1.54184 Å.
Neutral-atom scattering factors, no anomalous dispersion.

Structural model:
```
14
Lattice="-3.1126 3.1373 4.1231 3.1126 -3.1373 4.1231 3.1126 3.1373 -4.1231" Properties=species:S:1:pos:R:3 pbc="T T T"
Mn 0.0000 0.0000 0.0000
Mn 3.1126 1.5689 -1.0100
Mn 0.0000 1.5684 3.1131
Fe 3.1126 0.0000 2.0799
Fe 1.5589 3.1373 1.0468
Fe 1.5537 0.0000 5.1699
O 1.6887 3.1373 -0.9507
O 1.4239 0.0000 3.1725
O 3.1126 1.7523 0.9509
O 0.0000 1.7375 1.1553
O 0.0000 1.3850 5.0741
O 0.0000 4.5371 1.1553
O -1.4291 3.1373 3.0572
O 1.4291 3.1373 3.0572
```

Top 6 peaks for 2θ = 10–90°, in order of rising 2θ:
- 2θ = 29.6°, d = 3.015 Å, I = 550
- 2θ = 33.8°, d = 2.653 Å, I = 1000
- 2θ = 33.9°, d = 2.641 Å, I = 986
- 2θ = 35.7°, d = 2.516 Å, I = 897
- 2θ = 40.8°, d = 2.210 Å, I = 447
- 2θ = 61.5°, d = 1.507 Å, I = 852



2.
The following is a calculated PXRD pattern of Mn5FeO8. It was derived from a DFT-relaxed cell (GGA+U, Alexandria), using Cu Kα, 1.54184 Å.
Neutral-atom scattering factors, no anomalous dispersion.

Structural model:
```
14
Lattice="-3.4614 3.4614 3.1721 3.4614 -3.4614 3.1721 3.4614 3.4614 -3.1721" Properties=species:S:1:pos:R:3 pbc="T T T"
Mn 0.0000 0.0000 0.0000
Mn 4.7877 1.7932 -0.8216
Mn 1.7932 2.1351 0.8216
Mn -1.3263 1.6682 2.3505
Mn 1.6682 1.3263 3.9936
Fe 3.4614 0.0000 1.5860
O 1.9312 3.1196 -0.9451
O -0.2204 1.8635 0.5322
O 1.5302 0.3418 2.2270
O 3.8032 1.9312 0.9451
O 0.2204 5.0593 0.5322
O -0.3418 1.5302 4.1172
O 1.5979 3.2410 2.6399
O -1.5979 3.6818 2.6399
```

Top 6 peaks for 2θ = 10–90°, in order of rising 2θ:
- 2θ = 32.2°, d = 2.782 Å, I = 742
- 2θ = 33.7°, d = 2.662 Å, I = 1000
- 2θ = 41.6°, d = 2.169 Å, I = 593
- 2θ = 50.7°, d = 1.802 Å, I = 627
- 2θ = 52.9°, d = 1.731 Å, I = 286
- 2θ = 64.6°, d = 1.442 Å, I = 291



3.
The following is a calculated PXRD pattern of Mn23FeO32. It was derived from a DFT-relaxed cell (GGA+U, Alexandria), using Cu Kα, 1.54184 Å.
Neutral-atom scattering factors, no anomalous dispersion.

Structural model:
```
56
Lattice="6.2096 0.0000 0.0000 -0.5165 10.4541 0.0000 -0.5909 -3.0445 10.0170" Properties=species:S:1:pos:R:3 pbc="T T T"
Mn 0.0000 0.0000 0.0000
Mn -0.5537 3.7048 5.0085
Mn -0.2479 1.8398 2.4891
Mn -0.6324 8.8384 3.0731
Mn -0.3252 5.2761 1.8499
Mn 1.3988 2.6140 0.0064
Mn 1.1158 1.0853 5.0105
Mn 0.8796 6.3185 4.9986
Mn 0.6058 4.7948 9.9926
Mn 2.4452 0.3487 7.5480
Mn 2.1174 7.3712 8.1574
Mn 2.3908 3.8026 6.9214
Mn 2.8094 -1.5222 5.0085
Mn 2.7115 3.6070 3.0956
Mn 2.9848 0.0385 1.8596
Mn 2.6570 7.0609 2.4690
Mn 4.4964 2.6148 0.0244
Mn 4.2226 1.0912 5.0184
Mn 3.9865 6.3244 5.0065
Mn 3.7035 4.7957 10.0106
Mn 5.4275 2.1335 8.1671
Mn 5.7346 -1.4287 6.9439
Mn 5.3501 5.5698 7.5279
Fe 2.8466 5.2270 0.0000
O -0.2334 0.3246 3.7763
O -0.1785 3.3212 1.1711
O -0.4775 5.3634 3.9163
O -0.3661 8.7001 1.0091
O 0.7202 4.7030 6.1423
O 0.4464 6.3471 8.7706
O 1.0277 2.6316 3.7780
O 1.3133 0.9682 1.0795
O 0.8798 1.1889 8.9347
O 1.2062 -0.4641 6.2428
O 1.0398 7.9270 3.8445
O 1.4048 6.2240 1.1766
O 2.3971 -1.1396 8.8596
O 2.4611 1.8489 6.2505
O 2.1712 3.9478 8.9827
O 2.2380 7.2747 6.0872
O 2.8642 0.1349 3.9298
O 2.9310 3.4618 1.0343
O 2.6412 5.5608 3.7664
O 2.7051 8.5492 1.1574
O 3.6974 1.1856 8.8404
O 4.0625 -0.5174 6.1725
O 3.8961 7.8738 3.7742
O 4.2224 6.2207 1.0823
O 3.7889 6.4415 8.9375
O 4.0745 4.7780 6.2390
O 4.6558 1.0625 1.2463
O 4.3821 2.7066 3.8747
O 5.4683 -1.2905 9.0079
O 5.5797 2.0462 6.1006
O 5.2807 4.0885 8.8459
O 5.3356 7.0850 6.2407
```

Top 6 peaks for 2θ = 10–90°, in order of rising 2θ:
- 2θ = 32.8°, d = 2.730 Å, I = 681
- 2θ = 32.9°, d = 2.719 Å, I = 610
- 2θ = 35.0°, d = 2.560 Å, I = 484
- 2θ = 35.1°, d = 2.555 Å, I = 1000
- 2θ = 35.2°, d = 2.548 Å, I = 529
- 2θ = 59.8°, d = 1.547 Å, I = 529



4.
The following is a calculated PXRD pattern of Mn2FeO3. It was derived from a DFT-relaxed cell (GGA+U, Alexandria), using Cu Kα, 1.54184 Å.
Neutral-atom scattering factors, no anomalous dispersion.

Structural model:
```
12
Lattice="5.5221 0.0000 0.0000 0.0000 3.1333 0.0000 -0.0617 0.0000 7.7805" Properties=species:S:1:pos:R:3 pbc="T T T"
Mn 0.0000 0.0000 0.0000
Mn 0.8795 1.5666 5.1671
Mn 2.7611 1.5666 0.0000
Mn 4.5809 1.5666 2.6134
Fe 1.8242 0.0000 2.5896
Fe 3.6362 0.0000 5.1909
O -0.0308 0.0000 3.8902
O 0.9337 1.5666 1.3251
O 1.7807 0.0000 6.4836
O 2.7302 1.5666 3.8902
O 3.6797 0.0000 1.2969
O 4.5267 1.5666 6.4554
```

Top 6 peaks for 2θ = 10–90°, in order of rising 2θ:
- 2θ = 34.6°, d = 2.595 Å, I = 484
- 2θ = 34.8°, d = 2.575 Å, I = 474
- 2θ = 39.9°, d = 2.260 Å, I = 524
- 2θ = 40.5°, d = 2.228 Å, I = 1000
- 2θ = 58.1°, d = 1.587 Å, I = 596
- 2θ = 58.2°, d = 1.584 Å, I = 148